[1]
For Ca3GaSe4, the PBE geometry in Alexandria gives the computed XRD peak list in this record (a wavelength of 1.5418 Å).
Peak positions follow from Bragg's law for the DFT cell and can differ from measured ones.

Structural model:
Lattice parameters (Å, degrees): 9.940 8.601 5.833 90.00 90.00 90.00
Space group Pmn2_1 (No. 31)
Symmetry-distinct sites (fractional):
Ca 0.000 0.160 0.000 [2 per cell]
Ca 0.247 0.333 0.500 [4 per cell]
Ga 0.000 0.829 0.469 [2 per cell]
Se 0.000 0.150 0.500 [2 per cell]
Se 0.000 0.827 0.013 [2 per cell]
Se 0.244 0.672 0.501 [4 per cell]

Principal peaks in the range 10° ≤ 2θ ≤ 80°, low angle first:
index  Position (°2θ)  I/Imax
0 2 0  20.65  100
2 1 1  25.73  18
0 0 2  30.66  48
4 0 0  36.15  31
2 3 0  36.17  60
0 2 2  37.25  41
4 0 2  48.12  76
6 3 2  73.60  20

[2]
For Rb2BrN2, the PBE geometry in Alexandria gives the computed XRD peak list in this record (a wavelength of 1.5418 Å).
Peak positions follow from Bragg's law for the DFT cell and can differ from measured ones.

Structural model:
Lattice parameters (Å, degrees): 8.245 4.741 8.664 90.00 112.36 90.00
Space group C2/m (No. 12)
Symmetry-distinct sites (fractional):
Rb 0.231 0.000 0.238 [4 per cell]
Br 0.000 0.000 0.500 [2 per cell]
N 0.044 0.500 0.960 [4 per cell]

Principal peaks in the range 10° ≤ 2θ ≤ 80°, low angle first:
index  Position (°2θ)  I/Imax
2 0 -2  25.39  52
1 1 1  26.70  100
1 1 -3  36.44  39
0 2 0  37.93  53
2 0 2  38.29  17
2 2 -2  46.23  19
2 2 2  55.01  11
0 2 4  60.54  15

[3]
For Ba3YIr2O9, the PBE geometry in Alexandria gives the computed XRD peak list in this record (a wavelength of 1.5418 Å).
Peak positions follow from Bragg's law for the DFT cell and can differ from measured ones.

Structural model:
Lattice parameters (Å, degrees): 5.9562 5.9562 14.7209 90.00 90.00 120.00
Space group P6_3/mmc (No. 194)
Symmetry-distinct sites (fractional):
Ba 0.0000 0.0000 0.2500 [2 per cell]
Ba 0.3333 0.6667 0.0920 [4 per cell]
Y 0.0000 0.0000 0.0000 [2 per cell]
Ir 0.3333 0.6667 0.6644 [4 per cell]
O 0.0183 0.5092 0.7500 [6 per cell]
O 0.1763 0.3527 0.5869 [12 per cell]

Principal peaks in the range 10° ≤ 2θ ≤ 80°, low angle first:
index  Position (°2θ)  I/Imax
1 0 1  18.22  32
1 0 4  29.82  47
1 1 0  30.01  100
1 0 5  35.10  22
2 0 4  42.82  27
2 1 4  53.16  18
3 0 0  53.28  20
2 2 0  62.36  18

[4]
For TiS3Cl, the PBE geometry in Alexandria gives the computed XRD peak list in this record (a wavelength of 1.5418 Å).
Peak positions follow from Bragg's law for the DFT cell and can differ from measured ones.

Structural model:
Lattice parameters (Å, degrees): 3.379 7.027 11.537 104.39 90.10 99.51
Space group P-1 (No. 2)
Symmetry-distinct sites (fractional):
Ti 0.058 0.174 0.219 [2 per cell]
S 0.060 0.743 0.569 [2 per cell]
S 0.429 0.983 0.673 [2 per cell]
S 0.493 0.963 0.083 [2 per cell]
Cl 0.353 0.570 0.792 [2 per cell]

Principal peaks in the range 10° ≤ 2θ ≤ 80°, low angle first:
index  Position (°2θ)  I/Imax
0 1 0  13.20  50
0 1 -1  13.58  100
0 0 2  15.88  33
0 1 1  17.06  33
0 1 -4  31.46  21
1 -2 1  34.18  24
1 -2 0  34.57  13
1 2 0  41.36  26